Computed XRD peak list of ThSi2MoRu for Cu Kα, 1.54184 Å, from a structure optimized by DFT (GGA-PBE).

Largest 6 diffraction maxima, most intense first, 2θ = 10–80°:
34.7 deg, rel. 100; 22.6 deg, rel. 54; 34.5 deg, rel. 41; 42.0 deg, rel. 38; 72.1 deg, rel. 24; 55.5 deg, rel. 21

Cell and atoms:
Lattice parameters (Å, degrees): 5.762 5.762 5.762 136.19 136.19 63.69
Atoms (fractional coordinates):
Th (0.000, 0.000, 0.000)
Si (0.371, 0.371, 0.000)
Si (0.629, 0.629, 0.000)
Mo (0.750, 0.250, 0.500)
Ru (0.250, 0.750, 0.500)

***

Computed XRD peak list of Na2PuCdBi2 for Cu Kα, 1.54184 Å, from a structure optimized by DFT (GGA-PBE).

Largest 6 diffraction maxima, most intense first, 2θ = 10–80°:
33.1 deg, rel. 100; 32.5 deg, rel. 94; 31.9 deg, rel. 49; 34.8 deg, rel. 45; 23.4 deg, rel. 42; 47.9 deg, rel. 32

Cell and atoms:
Lattice parameters (Å, degrees): 6.947 5.163 9.530 90.00 90.00 90.00
Atoms (fractional coordinates):
Na (0.000, 0.000, 0.000)
Na (0.250, 0.500, 0.154)
Na (0.500, 0.000, 0.000)
Na (0.750, 0.500, 0.846)
Pu (0.000, 0.500, 0.500)
Pu (0.500, 0.500, 0.500)
Cd (0.250, 0.000, 0.664)
Cd (0.750, 0.000, 0.336)
Bi (0.250, 0.000, 0.345)
Bi (0.250, 0.500, 0.819)
Bi (0.750, 0.000, 0.655)
Bi (0.750, 0.500, 0.181)

***

Question: Which formula does entry 1 have?
Answer: ThSi2MoRu